# 1
KSbO3: calculated X-ray diffraction stick pattern (Cu Kα, 1.54184 Å), based on a crystal structure in the Materials Project, relaxed with GGA-PBE.

The 6 most intense peaks (2θ = 10–90°), low angle first:
2θ 10.7, intensity 870, (0 0 1)
2θ 18.4, intensity 571, (0 1 1)
2θ 25.8, intensity 380, (1 1 0)
2θ 26.3, intensity 1000, (0 1 -2)
2θ 31.9, intensity 380, (1 -1 0)
2θ 38.9, intensity 232, (1 2 2)

Structural model:
```
data_KSbO3
_chemical_formula_sum 'K2 Sb2 O6'
_cell_length_a 3.7453
_cell_length_b 6.0935
_cell_length_c 8.3423
_cell_angle_alpha 88.16
_cell_angle_beta 81.09
_cell_angle_gamma 76.70
_space_group_name_H-M_alt 'P -1'
_space_group_IT_number 2
_space_group_name_Hall '-P 1'
loop_
_atom_site_label
_atom_site_fract_x
_atom_site_fract_y
_atom_site_fract_z
K1 0.1417 0.2009 0.1416
Sb1 0.2961 0.2728 0.6353
O1 0.1804 0.0247 0.4718
O2 0.2622 0.1063 0.8302
O3 0.2676 0.5611 0.3471
```

***

# 2
Na7MgNbO6: calculated X-ray diffraction stick pattern (Cu Kα, 1.54184 Å), based on a crystal structure in the Materials Project, relaxed with GGA-PBE.

The 6 most intense peaks (2θ = 10–90°), low angle first:
2θ 15.0, intensity 1000, (0 1 0)
2θ 15.1, intensity 491, (1 0 0)
2θ 18.2, intensity 683, (1 0 1)
2θ 30.2, intensity 311, (2 1 0)
2θ 33.2, intensity 402, (1 2 2)
2θ 37.0, intensity 284, (2 0 2)

Structural model:
```
data_Na7MgNbO6
_chemical_formula_sum 'Na7 Mg1 Nb1 O6'
_cell_length_a 6.5290
_cell_length_b 6.5588
_cell_length_c 6.5599
_cell_angle_alpha 69.31
_cell_angle_beta 69.00
_cell_angle_gamma 69.08
_space_group_name_H-M_alt 'P 1'
_space_group_IT_number 1
_space_group_name_Hall 'P 1'
loop_
_atom_site_label
_atom_site_fract_x
_atom_site_fract_y
_atom_site_fract_z
Na1 0.0000 0.0000 0.0000
Na2 0.0279 0.8737 0.5497
Na3 0.1286 0.4848 0.9531
Na4 0.1782 0.3486 0.4741
Na5 0.5268 0.0754 0.8539
Na6 0.6529 0.5266 0.8198
Na7 0.7286 0.3783 0.3480
Mg1 0.3677 0.7122 0.1861
Nb1 0.5463 0.8974 0.3720
O1 0.2492 0.0329 0.2001
O2 0.3595 0.9885 0.6407
O3 0.3758 0.5960 0.5087
O4 0.6393 0.1641 0.1840
O5 0.6912 0.7211 0.0649
O6 0.8171 0.7072 0.4595
```

***

# 3
AuBrO2: calculated X-ray diffraction stick pattern (Cu Kα, 1.54184 Å), based on a crystal structure in the Materials Project, relaxed with GGA-PBE.

The 6 most intense peaks (2θ = 10–90°), low angle first:
2θ 15.7, intensity 765, (0 2 0)
2θ 25.6, intensity 1000, (1 1 1)
2θ 28.6, intensity 384, (2 2 0)
2θ 34.2, intensity 482, (1 3 1)
2θ 40.0, intensity 325, (2 4 0)
2θ 42.8, intensity 281, (3 1 1)

Structural model:
```
data_AuBrO2
_chemical_formula_sum 'Au4 Br4 O8'
_cell_length_a 7.5099
_cell_length_b 11.2684
_cell_length_c 4.2003
_cell_angle_alpha 90.00
_cell_angle_beta 90.00
_cell_angle_gamma 90.00
_space_group_name_H-M_alt 'C 2 2 21'
_space_group_IT_number 20
_space_group_name_Hall 'C 2c 2'
loop_
_atom_site_label
_atom_site_fract_x
_atom_site_fract_y
_atom_site_fract_z
Au1 0.2371 0.0000 0.0000
Br1 0.0000 0.1347 0.2500
O1 0.0859 0.4007 0.7846
```